The following is a calculated powder diffractogram of Cs4FeO4. It was derived from a structure optimized by DFT (GGA+U), using Cu Kα, 1.54184 Å.
Neutral-atom scattering factors, no anomalous dispersion.

Top 10 peaks for 15° ≤ 2θ ≤ 90°, sorted by position:
25.41°, I = 100, (2 0 1)
27.48°, I = 87, (2 1 1)
29.43°, I = 69, (2 2 0)
31.23°, I = 57, (1 0 2)
36.24°, I = 26, (3 1 1)
37.76°, I = 30, (2 1 2)
42.10°, I = 38, (4 0 0)
48.59°, I = 42, (3 2 2)
49.81°, I = 35, (4 2 1)
55.61°, I = 23, (3 0 3)

```
data_Cs4FeO4
_chemical_formula_sum 'Cs8 Fe2 O8'
_cell_length_a 8.584
_cell_length_b 8.584
_cell_length_c 6.076
_cell_angle_alpha 90.00
_cell_angle_beta 90.00
_cell_angle_gamma 90.00
_space_group_name_H-M_alt 'P 42/n m c'
_space_group_IT_number 137
loop_
_space_group_symop_operation_xyz
'x,y,z'
'-x,-y,-z'
'-y+1/2,x,z+1/2'
'y+1/2,-x,-z+1/2'
'-x+1/2,-y+1/2,z'
'x+1/2,y+1/2,-z'
'y,-x+1/2,z+1/2'
'-y,x+1/2,-z+1/2'
'x+1/2,-y,-z'
'-x+1/2,y,z'
'-y,-x,-z+1/2'
'y,x,z+1/2'
'-x,y+1/2,-z'
'x,-y+1/2,z'
'y+1/2,x+1/2,-z+1/2'
'-y+1/2,-x+1/2,z+1/2'
loop_
_atom_site_label
_atom_site_type_symbol
_atom_site_fract_x
_atom_site_fract_y
_atom_site_fract_z
_atom_site_occupancy
Cs1 Cs 0.032 0.250 0.112 1
Fe1 Fe 0.250 0.750 0.250 1
O1 O 0.064 0.750 0.404 1
```